# CaThBr6
Theoretical powder X-ray diffraction pattern, Cu Kα. Input: a structure optimized by DFT (PBE).

Structural model:
```
data_CaThBr6
_symmetry_space_group_name_H-M 'P m m a'
_symmetry_Int_Tables_number 51
_symmetry_space_group_name_Hall '-P 2a 2a'
_cell_length_a 9.2209
_cell_length_b 4.1798
_cell_length_c 13.8078
_cell_angle_alpha 90.00
_cell_angle_beta 90.00
_cell_angle_gamma 90.00
loop_
_atom_site_label
_atom_site_fract_x
_atom_site_fract_y
_atom_site_fract_z
_atom_site_occupancy
Ca1 0.2500 0.0000 0.2327 1
Th1 0.2500 0.5000 0.7420 1
Br1 0.0536 0.5000 0.3430 1
Br2 0.0741 0.0000 0.8475 1
Br3 0.2500 0.0000 0.5933 1
Br4 0.2500 0.5000 0.0920 1
```

Largest 10 diffraction maxima, in order of rising 2θ, 2θ = 15–90°:
Position (°2θ)  Rel. int.  h k l
28.85  39  0 1 3
29.56  33  2 1 1
30.47  100  1 1 3
31.87  47  3 0 2
36.88  52  3 1 1
39.08  32  4 0 0
40.35  28  1 1 5
41.41  27  3 1 3
43.29  27  0 2 0
43.97  41  2 0 6



# CdBr2
Theoretical powder X-ray diffraction pattern, Cu Kα. Input: a structure optimized by DFT (PBE).

Structural model:
```
data_CdBr2
_symmetry_space_group_name_H-M 'R -3 m'
_symmetry_Int_Tables_number 166
_symmetry_space_group_name_Hall '-R 3 2"'
_cell_length_a 4.0697
_cell_length_b 4.0697
_cell_length_c 40.7118
_cell_angle_alpha 90.00
_cell_angle_beta 90.00
_cell_angle_gamma 120.00
loop_
_atom_site_label
_atom_site_fract_x
_atom_site_fract_y
_atom_site_fract_z
_atom_site_occupancy
Cd1 0.0000 0.0000 0.0000 1
Cd2 0.0000 0.0000 0.5000 1
Br1 0.0000 0.0000 0.1280 1
Br2 0.0000 0.0000 0.2946 1
```

Largest 10 diffraction maxima, in order of rising 2θ, 2θ = 15–90°:
Position (°2θ)  Rel. int.  h k l
26.77  25  1 0 4
27.58  87  0 1 5
29.64  80  1 0 7
30.86  76  0 1 8
33.63  90  1 0 10
40.20  65  0 1 14
43.89  41  1 0 16
44.53  100  1 1 0
46.60  40  1 1 6
72.55  43  1 1 24



# CdBr2
Theoretical powder X-ray diffraction pattern, Cu Kα. Input: a structure optimized by DFT (PBE).

Structural model:
```
data_CdBr2
_symmetry_space_group_name_H-M 'P 63 m c'
_symmetry_Int_Tables_number 186
_symmetry_space_group_name_Hall 'P 6c -2c'
_cell_length_a 4.0738
_cell_length_b 4.0738
_cell_length_c 14.2550
_cell_angle_alpha 90.00
_cell_angle_beta 90.00
_cell_angle_gamma 120.00
loop_
_atom_site_label
_atom_site_fract_x
_atom_site_fract_y
_atom_site_fract_z
_atom_site_occupancy
Cd1 0.3333 0.6667 0.0000 1
Br1 0.0000 0.0000 0.1100 1
Br2 0.3333 0.6667 0.3899 1
```

Largest 10 diffraction maxima, in order of rising 2θ, 2θ = 15–90°:
Position (°2θ)  Rel. int.  h k l
26.02  29  1 0 1
28.22  100  1 0 2
31.59  94  1 0 3
35.81  34  1 0 4
40.69  61  1 0 5
44.48  64  1 1 0
46.06  25  1 0 6
46.36  31  1 1 2
55.57  18  2 0 3
70.17  22  1 1 8



# CdBr2
Theoretical powder X-ray diffraction pattern, Cu Kα. Input: a structure optimized by DFT (PBE).

Structural model:
```
data_CdBr2
_symmetry_space_group_name_H-M 'R -3 m'
_symmetry_Int_Tables_number 166
_symmetry_space_group_name_Hall '-R 3 2"'
_cell_length_a 4.0773
_cell_length_b 4.0773
_cell_length_c 20.5601
_cell_angle_alpha 90.00
_cell_angle_beta 90.00
_cell_angle_gamma 120.00
loop_
_atom_site_label
_atom_site_fract_x
_atom_site_fract_y
_atom_site_fract_z
_atom_site_occupancy
Cd1 0.0000 0.0000 0.0000 1
Br1 0.0000 0.0000 0.2571 1
```

Largest 10 diffraction maxima, in order of rising 2θ, 2θ = 15–90°:
Position (°2θ)  Rel. int.  h k l
25.60  24  1 0 1
30.72  100  1 0 4
39.92  17  1 0 7
43.56  35  0 1 8
44.44  36  1 1 0
46.47  15  1 1 3
54.99  18  0 2 4
72.00  14  1 1 12
73.28  15  2 1 4
81.22  11  1 2 8